For Sr2GdBiO6, a DFT-relaxed cell (PBE, the Materials Project) gives the calculated powder X-ray diffraction pattern in this record (λ = 1.5418 Å (Cu Kα)).
Neutral-atom scattering factors, no anomalous dispersion.

Cell and atoms:
Cell: 8.5858 8.5858 8.5858 Å, 90.00 90.00 90.00°
Fractional positions:
Sr1 0.2500 0.2500 0.2500
Sr2 0.2500 0.2500 0.7500
Sr3 0.2500 0.7500 0.2500
Sr4 0.2500 0.7500 0.7500
Sr5 0.7500 0.2500 0.2500
Sr6 0.7500 0.2500 0.7500
Sr7 0.7500 0.7500 0.2500
Sr8 0.7500 0.7500 0.7500
Gd1 0.0000 0.0000 0.0000
Gd2 0.0000 0.5000 0.5000
Gd3 0.5000 0.0000 0.5000
Gd4 0.5000 0.5000 0.0000
Bi1 0.0000 0.0000 0.5000
Bi2 0.0000 0.5000 0.0000
Bi3 0.5000 0.0000 0.0000
Bi4 0.5000 0.5000 0.5000
O1 0.0361 0.5455 0.7580
O2 0.0361 0.9545 0.7420
O3 0.0455 0.2420 0.5361
O4 0.0455 0.2580 0.9639
O5 0.2420 0.5361 0.0455
O6 0.2420 0.9639 0.4545
O7 0.2580 0.5361 0.4545
O8 0.2580 0.9639 0.0455
O9 0.4545 0.2420 0.9639
O10 0.4545 0.2580 0.5361
O11 0.4639 0.5455 0.7420
O12 0.4639 0.9545 0.7580
O13 0.5361 0.0455 0.2420
O14 0.5361 0.4545 0.2580
O15 0.5455 0.7420 0.4639
O16 0.5455 0.7580 0.0361
O17 0.7420 0.0361 0.9545
O18 0.7420 0.4639 0.5455
O19 0.7580 0.0361 0.5455
O20 0.7580 0.4639 0.9545
O21 0.9545 0.7420 0.0361
O22 0.9545 0.7580 0.4639
O23 0.9639 0.0455 0.2580
O24 0.9639 0.4545 0.2420

Largest 6 diffraction maxima, in order of rising 2θ, 2θ = 10–90°:
(2 0 0), 2θ 20.69, I = 20; (2 2 0), 2θ 29.42, I = 100; (4 0 0), 2θ 42.10, I = 27; (4 2 2), 2θ 52.19, I = 46; (6 2 0), 2θ 69.21, I = 19; (6 2 4), 2θ 84.43, I = 24